[1]
For AgBiS6, a PBE-relaxed structure gives the computed X-ray diffraction stick pattern in this record (Cu Kα (λ = 1.5418 Å)).
Intensities are scaled so that the largest is 100.

Largest 10 diffraction maxima, by angle, 2θ from 5° to 70°:
2theta  d [Å]  intensity
17.2  5.150  100.0
28.3  3.154  65.0
33.3  2.689  73.6
34.8  2.575  29.5
40.5  2.230  46.2
44.3  2.046  40.7
50.1  1.821  25.4
53.4  1.717  24.8
58.5  1.577  28.3
61.5  1.508  22.4

Structural model:
```
AgBiS6
1.0
0.0000 4.4599 4.4599
4.4599 0.0000 4.4599
4.4599 4.4599 0.0000
Ag Bi S
1 1 6
Cartesian
0.0000 0.0000 0.0000 Ag
6.6899 6.6899 6.6899 Bi
4.4599 4.4599 2.4791 S
4.4599 2.4791 4.4599 S
6.4408 4.4599 4.4599 S
2.4791 4.4599 4.4599 S
4.4599 6.4408 4.4599 S
4.4599 4.4599 6.4408 S
```

***

[2]
For TbYAg2Bi4, a PBE-relaxed structure gives the computed X-ray diffraction stick pattern in this record (Cu Kα (λ = 1.5418 Å)).
Intensities are scaled so that the largest is 100.

Largest 10 diffraction maxima, by angle, 2θ from 5° to 70°:
2theta  d [Å]  intensity
26.0  3.433  9.8
26.2  3.401  11.0
29.2  3.058  11.2
32.9  2.720  100.0
34.8  2.575  12.7
39.8  2.264  35.9
48.1  1.890  8.0
53.9  1.700  14.6
57.6  1.601  12.3
67.9  1.380  25.0

Structural model:
```
TbYAg2Bi4
1.0
4.5290 0.0000 0.0000
0.0000 4.5290 0.0000
0.0000 0.0000 10.3001
Tb Y Ag Bi
1 1 2 4
Cartesian
0.0000 0.0000 0.0000 Tb
2.2645 2.2645 5.1889 Y
0.0000 2.2645 2.5936 Ag
2.2645 0.0000 2.5936 Ag
0.0000 0.0000 4.5504 Bi
0.0000 2.2645 7.7444 Bi
2.2645 0.0000 7.7444 Bi
2.2645 2.2645 0.6343 Bi
```

***

[3]
For AgBi5W3, a PBE-relaxed structure gives the computed X-ray diffraction stick pattern in this record (Cu Kα (λ = 1.5418 Å)).
Intensities are scaled so that the largest is 100.

Largest 10 diffraction maxima, by angle, 2θ from 5° to 70°:
2theta  d [Å]  intensity
10.1  8.724  61.9
18.1  4.893  20.8
27.4  3.256  52.8
30.7  2.908  37.9
31.7  2.825  68.0
37.9  2.371  31.2
38.2  2.355  48.6
41.4  2.181  20.2
42.4  2.134  100.0
66.2  1.412  26.0

Structural model:
```
AgBi5W3
1.0
5.6496 0.0000 0.0000
-2.8248 4.8927 0.0000
0.0000 0.0000 8.7242
Ag Bi W
1 5 3
Cartesian
0.0000 0.0000 0.0000 Ag
0.0000 0.0000 4.3621 Bi
0.0000 3.2618 1.8323 Bi
0.0000 3.2618 6.8919 Bi
2.8248 1.6309 1.8323 Bi
2.8248 1.6309 6.8919 Bi
-1.4124 2.4463 4.3621 W
2.8248 0.0000 4.3621 W
1.4124 2.4463 4.3621 W
```

***

[4]
For Zr3AgBi5, a PBE-relaxed structure gives the computed X-ray diffraction stick pattern in this record (Cu Kα (λ = 1.5418 Å)).
Intensities are scaled so that the largest is 100.

Largest 10 diffraction maxima, by angle, 2θ from 5° to 70°:
2theta  d [Å]  intensity
26.4  3.376  76.7
29.9  2.992  100.0
30.1  2.967  32.2
36.1  2.486  49.2
40.3  2.239  70.9
42.9  2.107  31.6
50.9  1.793  26.5
53.0  1.727  20.9
60.5  1.530  17.0
62.0  1.496  23.6

Structural model:
```
Zr3AgBi5
1.0
5.9838 0.0000 0.0000
-2.9919 5.1821 0.0000
0.0000 0.0000 8.9020
Zr Ag Bi
3 1 5
Cartesian
-1.4959 2.5910 0.0000 Zr
2.9919 0.0000 0.0000 Zr
1.4959 2.5910 0.0000 Zr
0.0000 0.0000 4.4510 Ag
0.0000 0.0000 0.0000 Bi
0.0000 3.4547 2.6728 Bi
0.0000 3.4547 6.2291 Bi
2.9919 1.7274 2.6728 Bi
2.9919 1.7274 6.2291 Bi
```

***

[5]
For AgBr7, a PBE-relaxed structure gives the computed X-ray diffraction stick pattern in this record (Cu Kα (λ = 1.5418 Å)).
Intensities are scaled so that the largest is 100.

Largest 10 diffraction maxima, by angle, 2θ from 5° to 70°:
2theta  d [Å]  intensity
16.5  5.387  43.7
23.4  3.804  52.1
24.1  3.696  82.8
26.5  3.365  100.0
27.4  3.256  41.4
31.7  2.820  35.6
32.4  2.760  54.6
39.3  2.291  38.8
43.3  2.090  36.8
46.9  1.937  31.9

Structural model:
```
AgBr7
1.0
7.6041 0.0000 0.0000
3.7701 7.5217 0.0000
0.3053 1.8067 9.5422
Ag Br
2 14
Cartesian
1.7616 0.7931 2.0948 Ag
9.9179 8.5353 7.4474 Ag
0.9989 2.7037 7.4067 Br
3.1360 6.3177 4.6945 Br
3.1250 6.1001 7.2351 Br
5.3485 5.9220 0.6251 Br
3.9859 1.9915 0.8138 Br
4.6807 2.4610 3.5403 Br
6.7142 6.3859 3.6695 Br
4.9653 2.9425 5.8726 Br
6.9988 6.8674 6.0018 Br
7.6935 7.3369 8.7283 Br
6.3310 3.4064 8.9171 Br
8.5545 3.2283 2.3070 Br
8.5435 3.0107 4.8477 Br
10.6806 6.6247 2.1355 Br
```

***

[6]
For InAgH12C2Br6N2, a PBE-relaxed structure gives the computed X-ray diffraction stick pattern in this record (Cu Kα (λ = 1.5418 Å)).
Intensities are scaled so that the largest is 100.

Largest 10 diffraction maxima, by angle, 2θ from 5° to 70°:
2theta  d [Å]  intensity
13.3  6.651  100.0
29.6  3.017  73.7
34.2  2.620  36.6
35.7  2.514  16.3
36.9  2.438  47.3
44.0  2.058  11.2
46.8  1.940  13.7
47.3  1.920  24.3
49.4  1.845  11.6
52.9  1.731  11.1

Structural model:
```
InAgH12C2Br6N2
1.0
7.6801 0.0000 0.0000
-3.8401 6.6512 0.0000
0.0000 0.0000 7.1673
In Ag H C Br N
1 1 12 2 6 2
Cartesian
0.0000 0.0000 0.0000 In
0.0000 0.0000 3.5836 Ag
-1.0272 4.2941 2.9517 H
-0.3626 3.5389 0.7377 H
-0.5940 5.1958 0.7377 H
0.6349 3.6145 2.9517 H
0.3924 5.3937 2.9517 H
0.9566 4.5677 0.7377 H
2.8835 2.0834 6.4295 H
3.4477 1.2575 4.2156 H
3.2052 3.0367 4.2156 H
4.4341 1.4554 6.4295 H
4.2026 3.1123 6.4295 H
4.8673 2.3571 4.2156 H
0.0000 4.4341 2.6047 C
3.8401 2.2171 4.5625 C
-2.0691 5.3861 5.5613 Br
0.2101 2.1662 5.5613 Br
1.9810 0.9011 1.6059 Br
1.8590 5.7500 5.5613 Br
3.6300 4.4850 1.6059 Br
5.9092 1.2651 1.6059 Br
0.0000 4.4341 1.1199 N
3.8401 2.2171 6.0474 N
```

***

Please write out number 5 again, unchanged.
For AgBr7, a PBE-relaxed structure gives the computed X-ray diffraction stick pattern in this record (Cu Kα (λ = 1.5418 Å)).
Intensities are scaled so that the largest is 100.

Largest 10 diffraction maxima, by angle, 2θ from 5° to 70°:
2theta  d [Å]  intensity
16.5  5.387  43.7
23.4  3.804  52.1
24.1  3.696  82.8
26.5  3.365  100.0
27.4  3.256  41.4
31.7  2.820  35.6
32.4  2.760  54.6
39.3  2.291  38.8
43.3  2.090  36.8
46.9  1.937  31.9

Structural model:
```
AgBr7
1.0
7.6041 0.0000 0.0000
3.7701 7.5217 0.0000
0.3053 1.8067 9.5422
Ag Br
2 14
Cartesian
1.7616 0.7931 2.0948 Ag
9.9179 8.5353 7.4474 Ag
0.9989 2.7037 7.4067 Br
3.1360 6.3177 4.6945 Br
3.1250 6.1001 7.2351 Br
5.3485 5.9220 0.6251 Br
3.9859 1.9915 0.8138 Br
4.6807 2.4610 3.5403 Br
6.7142 6.3859 3.6695 Br
4.9653 2.9425 5.8726 Br
6.9988 6.8674 6.0018 Br
7.6935 7.3369 8.7283 Br
6.3310 3.4064 8.9171 Br
8.5545 3.2283 2.3070 Br
8.5435 3.0107 4.8477 Br
10.6806 6.6247 2.1355 Br
```